This entry pairs a crystal structure of MgTi2O4 with its theoretical XRD peak list. Radiation: λ = 1.5418 Å (Cu Kα). Structure: DFT lattice parameters and positions (PBE).
No peak broadening, texture or thermal motion is included.

Largest 10 diffraction maxima, low angle first, 15° ≤ 2θ ≤ 90°:
29.2°, I = 82, hkl 2 0 -6; 34.3°, I = 43, hkl 3 1 -5; 34.9°, I = 43, hkl 3 1 3; 34.9°, I = 46, hkl 1 1 -7; 35.1°, I = 100, hkl 2 0 6; 35.4°, I = 78, hkl 0 2 4; 42.2°, I = 34, hkl 4 0 4; 42.5°, I = 67, hkl 2 2 -6; 60.6°, I = 65, hkl 6 2 -2; 62.2°, I = 58, hkl 2 2 10

Structural model:
a = 10.7035 Å, b = 5.9240 Å, c = 20.0152 Å
α = 90.00°, β = 101.44°, γ = 90.00°
Space group Cm (No. 8)
Asymmetric unit:
1 Mg 0.0000 0.0000 0.0000 x2
2 Mg 0.0065 0.5000 0.4981 x2
3 Mg 0.0430 0.5000 0.0926 x2
4 Mg 0.1270 0.5000 0.3704 x2
5 Mg 0.2487 0.5000 0.2483 x2
6 Mg 0.2601 0.0000 0.7493 x2
7 Mg 0.2888 0.5000 0.8435 x2
8 Mg 0.3841 0.0000 0.6248 x2
9 Ti 0.0022 0.2287 0.2430 x4
10 Ti 0.0138 0.2298 0.7528 x4
11 Ti 0.0369 0.0000 0.5893 x2
12 Ti 0.1363 0.0000 0.8757 x2
13 Ti 0.2268 0.5000 0.6589 x2
14 Ti 0.2324 0.0000 0.1507 x2
15 Ti 0.2573 0.2435 0.9961 x4
16 Ti 0.2570 0.2570 0.4982 x4
17 Ti 0.2883 0.0000 0.3389 x2
18 Ti 0.3877 0.5000 0.1264 x2
19 Ti 0.4776 0.5000 0.4061 x2
20 Ti 0.4807 0.0000 0.9022 x2
21 O 0.0645 0.5000 0.1941 x2
22 O 0.0674 0.5000 0.6881 x2
23 O 0.0697 0.0000 0.6871 x2
24 O 0.0731 0.2406 0.9378 x4
25 O 0.0765 0.2589 0.4382 x4
26 O 0.0784 0.0000 0.1808 x2
27 O 0.1868 0.2345 0.8090 x4
28 O 0.1878 0.2535 0.3091 x4
29 O 0.1896 0.0000 0.0546 x2
30 O 0.1944 0.5000 0.5613 x2
31 O 0.1981 0.0000 0.5598 x2
32 O 0.2076 0.5000 0.0585 x2
33 O 0.3160 0.5000 0.9429 x2
34 O 0.3175 0.5000 0.4358 x2
35 O 0.3199 0.0000 0.4363 x2
36 O 0.3197 0.2620 0.1872 x4
37 O 0.3275 0.0000 0.9342 x2
38 O 0.3276 0.2441 0.6887 x4
39 O 0.4311 0.2623 0.0601 x4
40 O 0.4378 0.2402 0.5581 x4
41 O 0.4412 0.5000 0.3083 x2
42 O 0.4441 0.0000 0.3076 x2
43 O 0.4445 0.0000 0.8057 x2
44 O 0.4503 0.5000 0.8128 x2